# ScP
Calculated XRD peak list, Cu Ka. Input: a cell relaxed with PBE.

Cell: 5.3169 5.3169 5.3169 Å, 90.00 90.00 90.00°
Space group Fm-3m (No. 225)
Asymmetric unit:
1 Sc 0.0000 0.0000 0.0000 [4 per cell]
2 P 0.0000 0.0000 0.5000 [4 per cell]

Largest 8 diffraction maxima, most intense first, 15° ≤ 2θ ≤ 90°:
- 2θ 33.7, rel. 100.0
- 2θ 48.4, rel. 65.4
- 2θ 80.8, rel. 26.8
- 2θ 60.3, rel. 21.5
- 2θ 70.9, rel. 9.7
- 2θ 29.1, rel. 6.7
- 2θ 57.5, rel. 2.5
- 2θ 78.4, rel. 0.7

=====

# Cs2KLuCl6
Calculated XRD peak list, Cu Ka. Input: a cell relaxed with PBE.

Cell: 11.2376 11.2376 11.2376 Å, 90.00 90.00 90.00°
Space group Fm-3m (No. 225)
Asymmetric unit:
1 Cs 0.2500 0.2500 0.2500 [8 per cell]
2 K 0.0000 0.0000 0.0000 [4 per cell]
3 Lu 0.0000 0.0000 0.5000 [4 per cell]
4 Cl 0.0000 0.0000 0.2699 [24 per cell]

Largest 10 diffraction maxima, most intense first, 15° ≤ 2θ ≤ 90°:
- 2θ 22.4, rel. 100.0
- 2θ 31.9, rel. 58.6
- 2θ 39.3, rel. 45.0
- 2θ 45.7, rel. 39.7
- 2θ 61.8, rel. 26.1
- 2θ 51.4, rel. 23.4
- 2θ 27.5, rel. 17.0
- 2θ 75.7, rel. 16.0
- 2θ 88.8, rel. 14.8
- 2θ 56.8, rel. 13.2

=====

# Tl3PS4
Calculated XRD peak list, Cu Ka. Input: a cell relaxed with PBE.

Cell: 9.1105 11.1444 9.2374 Å, 90.00 90.00 90.00°
Space group Pnma (No. 62)
Asymmetric unit:
1 Tl 0.0665 0.0555 0.1974 [8 per cell]
2 Tl 0.1003 0.7500 0.3902 [4 per cell]
3 P 0.2213 0.7500 0.9725 [4 per cell]
4 S 0.0143 0.7500 0.0605 [4 per cell]
5 S 0.1647 0.0985 0.5322 [8 per cell]
6 S 0.1964 0.7500 0.7483 [4 per cell]

Largest 10 diffraction maxima, most intense first, 15° ≤ 2θ ≤ 90°:
- 2θ 21.8, rel. 100.0
- 2θ 31.1, rel. 99.8
- 2θ 25.9, rel. 83.8
- 2θ 23.0, rel. 63.3
- 2θ 34.7, rel. 53.3
- 2θ 32.6, rel. 51.9
- 2θ 21.0, rel. 50.4
- 2θ 39.0, rel. 46.7
- 2θ 25.0, rel. 41.5
- 2θ 26.9, rel. 38.2

=====

# CsLi2Cl3
Calculated XRD peak list, Cu Ka. Input: a cell relaxed with PBE.

Cell: 12.5959 7.4736 6.8858 Å, 90.00 90.00 90.00°
Space group Pbcn (No. 60)
Asymmetric unit:
1 Cs 0.0000 0.1931 0.2500 [4 per cell]
2 Li 0.1859 0.3507 0.7391 [8 per cell]
3 Cl 0.0000 0.3150 0.7500 [4 per cell]
4 Cl 0.2467 0.1001 0.5582 [8 per cell]

Largest 10 diffraction maxima, most intense first, 15° ≤ 2θ ≤ 90°:
- 2θ 29.6, rel. 100.0
- 2θ 18.9, rel. 88.8
- 2θ 28.3, rel. 70.3
- 2θ 30.7, rel. 66.5
- 2θ 27.8, rel. 53.4
- 2θ 27.6, rel. 48.5
- 2θ 55.3, rel. 28.3
- 2θ 35.5, rel. 26.8
- 2θ 27.2, rel. 25.5
- 2θ 51.0, rel. 25.2

=====

What did the third record say?
# Tl3PS4
Calculated XRD peak list, Cu Ka. Input: a cell relaxed with PBE.

Cell: 9.1105 11.1444 9.2374 Å, 90.00 90.00 90.00°
Space group Pnma (No. 62)
Asymmetric unit:
1 Tl 0.0665 0.0555 0.1974 [8 per cell]
2 Tl 0.1003 0.7500 0.3902 [4 per cell]
3 P 0.2213 0.7500 0.9725 [4 per cell]
4 S 0.0143 0.7500 0.0605 [4 per cell]
5 S 0.1647 0.0985 0.5322 [8 per cell]
6 S 0.1964 0.7500 0.7483 [4 per cell]

Largest 10 diffraction maxima, most intense first, 15° ≤ 2θ ≤ 90°:
- 2θ 21.8, rel. 100.0
- 2θ 31.1, rel. 99.8
- 2θ 25.9, rel. 83.8
- 2θ 23.0, rel. 63.3
- 2θ 34.7, rel. 53.3
- 2θ 32.6, rel. 51.9
- 2θ 21.0, rel. 50.4
- 2θ 39.0, rel. 46.7
- 2θ 25.0, rel. 41.5
- 2θ 26.9, rel. 38.2

=====

> Number 1 is which compound?

ScP